Starting from a GGA-PBE-relaxed structure, the PXRD pattern of ReSe2Cl was computed for Cu Kα X-rays.
Intensities are scaled so that the largest is 100.

Principal peaks in the range 2θ from 10° to 90°, in order of rising 2θ:
- 15.68°, 5.651 Å, I = 100
- 18.94°, 4.685 Å, I = 56
- 27.14°, 3.286 Å, I = 67
- 32.51°, 2.754 Å, I = 53
- 33.53°, 2.672 Å, I = 38
- 44.88°, 2.020 Å, I = 68
- 48.27°, 1.885 Å, I = 23
- 48.41°, 1.880 Å, I = 29

Structural model:
Unit cell a=6.5076 b=5.1464 c=11.3152 alpha=90.00 beta=90.00 gamma=90.00
Sites, in units of the cell vectors:
Re1 0.2500 0.0000 0.0886
Re2 0.2500 0.5000 0.4114
Re3 0.7500 0.0000 0.9114
Re4 0.7500 0.5000 0.5886
Se1 0.0602 0.2352 0.5567
Se2 0.0602 0.2648 0.9433
Se3 0.4398 0.7352 0.9433
Se4 0.4398 0.7648 0.5567
Se5 0.5602 0.2352 0.4433
Se6 0.5602 0.2648 0.0567
Se7 0.9398 0.7352 0.0567
Se8 0.9398 0.7648 0.4433
Cl1 0.0949 0.2500 0.2500
Cl2 0.4051 0.7500 0.2500
Cl3 0.5949 0.2500 0.7500
Cl4 0.9051 0.7500 0.7500

Starting from a GGA-PBE-relaxed structure, the PXRD pattern of Re3Te8Cl3 was computed for Cu Kα X-rays.
Intensities are scaled so that the largest is 100.

Principal peaks in the range 2θ from 10° to 90°, in order of rising 2θ:
- 11.18°, 7.912 Å, I = 100
- 13.03°, 6.794 Å, I = 92
- 26.97°, 3.306 Å, I = 27
- 27.85°, 3.203 Å, I = 28
- 39.10°, 2.304 Å, I = 32
- 40.12°, 2.248 Å, I = 43
- 45.78°, 1.982 Å, I = 31
- 45.91°, 1.977 Å, I = 25

Structural model:
Unit cell a=8.7062 b=18.9562 c=10.8658 alpha=90.00 beta=90.00 gamma=90.00
Sites, in units of the cell vectors:
Re1 0.0435 0.0992 0.3120
Re2 0.1529 0.9860 0.1874
Re3 0.1530 0.9856 0.4367
Re4 0.3470 0.4856 0.5633
Re5 0.3471 0.4860 0.8126
Re6 0.4565 0.5992 0.6880
Re7 0.5435 0.4008 0.6880
Re8 0.6530 0.5144 0.5633
Re9 0.6529 0.5140 0.8126
Re10 0.8471 0.0140 0.1874
Re11 0.8470 0.0144 0.4367
Re12 0.9565 0.9008 0.3120
Te1 0.0428 0.1014 0.0628
Te2 0.0446 0.1008 0.5618
Te3 0.1107 0.2413 0.3230
Te4 0.1304 0.4488 0.9823
Te5 0.1313 0.4488 0.3921
Te6 0.1532 0.5718 0.6875
Te7 0.2298 0.0120 0.8129
Te8 0.2426 0.3696 0.6885
Te9 0.2574 0.8696 0.3115
Te10 0.2702 0.5120 0.1871
Te11 0.3468 0.0718 0.3125
Te12 0.3687 0.9488 0.6079
Te13 0.3696 0.9488 0.0177
Te14 0.3893 0.7413 0.6770
Te15 0.4554 0.6008 0.4382
Te16 0.4572 0.6014 0.9372
Te17 0.5428 0.3986 0.9372
Te18 0.5446 0.3992 0.4382
Te19 0.6107 0.2587 0.6770
Te20 0.6304 0.0512 0.0177
Te21 0.6313 0.0512 0.6079
Te22 0.6532 0.9282 0.3125
Te23 0.7298 0.4880 0.1871
Te24 0.7426 0.1304 0.3115
Te25 0.7574 0.6304 0.6885
Te26 0.7702 0.9880 0.8129
Te27 0.8468 0.4282 0.6875
Te28 0.8687 0.5512 0.3921
Te29 0.8696 0.5512 0.9823
Te30 0.8893 0.7587 0.3230
Te31 0.9554 0.8992 0.5618
Te32 0.9572 0.8986 0.0628
Cl1 0.0670 0.7115 0.1723
Cl2 0.1163 0.7239 0.4946
Cl3 0.1841 0.7481 0.8352
Cl4 0.3159 0.2481 0.1648
Cl5 0.3837 0.2239 0.5054
Cl6 0.4330 0.2115 0.8277
Cl7 0.5670 0.7885 0.8277
Cl8 0.6163 0.7761 0.5054
Cl9 0.6841 0.7519 0.1648
Cl10 0.8159 0.2519 0.8352
Cl11 0.8837 0.2761 0.4946
Cl12 0.9330 0.2885 0.1723

Starting from a GGA-PBE-relaxed structure, the PXRD pattern of Tl2ReCl6 was computed for Cu Kα X-rays.
Intensities are scaled so that the largest is 100.

Principal peaks in the range 2θ from 10° to 90°, in order of rising 2θ:
- 15.23°, 5.817 Å, I = 34
- 25.00°, 3.562 Å, I = 100
- 30.74°, 2.909 Å, I = 29
- 35.64°, 2.519 Å, I = 49
- 44.03°, 2.057 Å, I = 46
- 51.29°, 1.781 Å, I = 33
- 57.88°, 1.593 Å, I = 22
- 69.86°, 1.346 Å, I = 25

Structural model:
Unit cell a=7.1246 b=7.1246 c=7.1246 alpha=60.00 beta=60.00 gamma=60.00
Sites, in units of the cell vectors:
Tl1 0.2500 0.2500 0.2500
Tl2 0.7500 0.7500 0.7500
Re1 0.0000 0.0000 0.0000
Cl1 0.2356 0.2356 0.7644
Cl2 0.2356 0.7644 0.2356
Cl3 0.2356 0.7644 0.7644
Cl4 0.7644 0.2356 0.2356
Cl5 0.7644 0.2356 0.7644
Cl6 0.7644 0.7644 0.2356

Starting from a GGA-PBE-relaxed structure, the PXRD pattern of TlReCl4 was computed for Cu Kα X-rays.
Intensities are scaled so that the largest is 100.

Principal peaks in the range 2θ from 10° to 90°, in order of rising 2θ:
- 12.28°, 7.210 Å, I = 28
- 13.40°, 6.606 Å, I = 37
- 13.95°, 6.349 Å, I = 100
- 21.67°, 4.100 Å, I = 29
- 22.20°, 4.005 Å, I = 40
- 23.61°, 3.768 Å, I = 52
- 28.28°, 3.156 Å, I = 33
- 37.43°, 2.403 Å, I = 32

Structural model:
Unit cell a=7.3043 b=8.1318 c=8.1988 alpha=109.47 beta=100.93 gamma=112.10
Sites, in units of the cell vectors:
Tl1 0.2398 0.4024 0.1697
Tl2 0.7602 0.5976 0.8303
Re1 0.1690 0.0560 0.5110
Re2 0.8310 0.9440 0.4890
Cl1 0.1530 0.9969 0.2074
Cl2 0.2218 0.7820 0.4658
Cl3 0.2752 0.3887 0.5720
Cl4 0.3633 0.1806 0.8268
Cl5 0.6367 0.8194 0.1732
Cl6 0.7248 0.6113 0.4280
Cl7 0.7782 0.2180 0.5342
Cl8 0.8470 0.0031 0.7926

Starting from a GGA-PBE-relaxed structure, the PXRD pattern of RhCl was computed for Cu Kα X-rays.
Intensities are scaled so that the largest is 100.

Principal peaks in the range 2θ from 10° to 90°, in order of rising 2θ:
- 18.88°, 4.700 Å, I = 92
- 20.77°, 4.276 Å, I = 41
- 27.92°, 3.196 Å, I = 72
- 32.55°, 2.751 Å, I = 73
- 37.39°, 2.405 Å, I = 44
- 38.30°, 2.350 Å, I = 100
- 38.88°, 2.316 Å, I = 53
- 46.48°, 1.954 Å, I = 86

Structural model:
Unit cell a=9.6209 b=4.2760 c=5.3863 alpha=90.00 beta=90.00 gamma=90.00
Sites, in units of the cell vectors:
Rh1 0.0000 0.2312 0.0000
Rh2 0.2248 0.4604 0.7746
Rh3 0.2752 0.5396 0.2746
Rh4 0.5000 0.7688 0.5000
Rh5 0.7248 0.5396 0.2746
Rh6 0.7752 0.4604 0.7746
Cl1 0.0000 0.7241 0.7986
Cl2 0.1645 0.0248 0.2944
Cl3 0.3355 0.9752 0.7944
Cl4 0.5000 0.2759 0.2986
Cl5 0.6645 0.9752 0.7944
Cl6 0.8355 0.0248 0.2944

Starting from a GGA-PBE-relaxed structure, the PXRD pattern of RhCl6 was computed for Cu Kα X-rays.
Intensities are scaled so that the largest is 100.

Principal peaks in the range 2θ from 10° to 90°, in order of rising 2θ:
- 15.12°, 5.859 Å, I = 41
- 16.94°, 5.234 Å, I = 41
- 17.35°, 5.112 Å, I = 100
- 21.56°, 4.121 Å, I = 41
- 33.50°, 2.675 Å, I = 67
- 35.45°, 2.532 Å, I = 32
- 38.29°, 2.351 Å, I = 24
- 40.19°, 2.244 Å, I = 22

Structural model:
Unit cell a=8.3285 b=10.4689 c=8.2425 alpha=90.00 beta=90.00 gamma=90.00
Sites, in units of the cell vectors:
Rh1 0.1585 0.2500 0.0280
Rh2 0.3415 0.7500 0.5280
Rh3 0.6585 0.2500 0.4720
Rh4 0.8415 0.7500 0.9720
Cl1 0.0514 0.5900 0.9366
Cl2 0.0514 0.9100 0.9366
Cl3 0.1044 0.2500 0.7575
Cl4 0.1513 0.5959 0.4986
Cl5 0.1513 0.9041 0.4986
Cl6 0.2000 0.2500 0.3100
Cl7 0.3000 0.7500 0.8100
Cl8 0.3487 0.0959 0.9986
Cl9 0.3487 0.4041 0.9986
Cl10 0.3956 0.7500 0.2575
Cl11 0.4486 0.0900 0.4366
Cl12 0.4486 0.4100 0.4366
Cl13 0.5514 0.5900 0.5634
Cl14 0.5514 0.9100 0.5634
Cl15 0.6044 0.2500 0.7425
Cl16 0.6513 0.5959 0.0014
Cl17 0.6513 0.9041 0.0014
Cl18 0.7000 0.2500 0.1900
Cl19 0.8000 0.7500 0.6900
Cl20 0.8487 0.0959 0.5014
Cl21 0.8487 0.4041 0.5014
Cl22 0.8956 0.7500 0.2425
Cl23 0.9486 0.0900 0.0634
Cl24 0.9486 0.4100 0.0634

Starting from a GGA-PBE-relaxed structure, the PXRD pattern of Rh2Cl3 was computed for Cu Kα X-rays.
Intensities are scaled so that the largest is 100.

Principal peaks in the range 2θ from 10° to 90°, in order of rising 2θ:
- 19.87°, 4.468 Å, I = 37
- 28.30°, 3.153 Å, I = 20
- 30.05°, 2.974 Å, I = 42
- 34.82°, 2.576 Å, I = 100
- 41.71°, 2.165 Å, I = 15
- 50.07°, 1.822 Å, I = 77
- 62.46°, 1.487 Å, I = 17
- 84.01°, 1.152 Å, I = 23

Structural model:
Unit cell a=3.6412 b=3.6412 c=8.9350 alpha=90.00 beta=90.00 gamma=120.00
Sites, in units of the cell vectors:
Rh1 0.3333 0.6667 0.3142
Rh2 0.6667 0.3333 0.6858
Cl1 0.0000 0.0000 0.5000
Cl2 0.3333 0.6667 0.8150
Cl3 0.6667 0.3333 0.1850

Starting from a GGA-PBE-relaxed structure, the PXRD pattern of RhS2Cl2 was computed for Cu Kα X-rays.
Intensities are scaled so that the largest is 100.

Principal peaks in the range 2θ from 10° to 90°, in order of rising 2θ:
- 14.23°, 6.224 Å, I = 100
- 15.41°, 5.750 Å, I = 52
- 15.65°, 5.661 Å, I = 70
- 21.31°, 4.169 Å, I = 43
- 25.41°, 3.506 Å, I = 55
- 36.26°, 2.478 Å, I = 60
- 43.03°, 2.102 Å, I = 19
- 46.49°, 1.953 Å, I = 25

Structural model:
Unit cell a=6.5324 b=6.5324 c=7.4076 alpha=110.25 beta=110.25 gamma=100.65
Sites, in units of the cell vectors:
Rh1 0.1550 0.8450 0.0000
Rh2 0.8450 0.1550 0.0000
S1 0.0743 0.0743 0.8163
S2 0.2034 0.2034 0.2884
S3 0.7966 0.7966 0.7116
S4 0.9257 0.9257 0.1837
Cl1 0.3146 0.6788 0.7780
Cl2 0.3212 0.6854 0.2220
Cl3 0.6788 0.3146 0.7780
Cl4 0.6854 0.3212 0.2220

Starting from a GGA-PBE-relaxed structure, the PXRD pattern of SrRhCl was computed for Cu Kα X-rays.
Intensities are scaled so that the largest is 100.

Principal peaks in the range 2θ from 10° to 90°, in order of rising 2θ:
- 24.08°, 3.696 Å, I = 20
- 25.57°, 3.484 Å, I = 28
- 32.04°, 2.794 Å, I = 42
- 34.32°, 2.613 Å, I = 21
- 34.87°, 2.573 Å, I = 52
- 38.01°, 2.367 Å, I = 100
- 48.49°, 1.877 Å, I = 33
- 83.49°, 1.158 Å, I = 20

Structural model:
Unit cell a=10.7843 b=3.7547 c=10.7843 alpha=79.97 beta=20.05 gamma=79.98
Sites, in units of the cell vectors:
Sr1 0.1212 0.8788 0.1212
Sr2 0.8788 0.1212 0.8788
Rh1 0.4988 0.9975 0.5012
Rh2 0.9975 0.4988 0.0025
Cl1 0.3163 0.6841 0.3159
Cl2 0.6841 0.3163 0.6837

Starting from a GGA-PBE-relaxed structure, the PXRD pattern of SrRhCl was computed for Cu Kα X-rays.
Intensities are scaled so that the largest is 100.

Principal peaks in the range 2θ from 10° to 90°, in order of rising 2θ:
- 25.17°, 3.538 Å, I = 28
- 25.54°, 3.487 Å, I = 29
- 34.29°, 2.615 Å, I = 21
- 34.83°, 2.576 Å, I = 52
- 35.10°, 2.557 Å, I = 39
- 37.97°, 2.370 Å, I = 100
- 48.43°, 1.879 Å, I = 33
- 83.38°, 1.159 Å, I = 20

Structural model:
Unit cell a=10.4620 b=3.7590 c=3.7590 alpha=90.00 beta=90.00 gamma=90.00
Sites, in units of the cell vectors:
Sr1 0.2438 0.2500 0.7500
Sr2 0.7562 0.7500 0.2500
Rh1 0.0000 0.2513 0.2513
Rh2 0.0000 0.7513 0.7513
Cl1 0.3683 0.7498 0.2498
Cl2 0.6317 0.2498 0.7498

Starting from a GGA-PBE-relaxed structure, the PXRD pattern of Tb2RhCl was computed for Cu Kα X-rays.
Intensities are scaled so that the largest is 100.

Principal peaks in the range 2θ from 10° to 90°, in order of rising 2θ:
- 11.91°, 7.430 Å, I = 41
- 27.14°, 3.286 Å, I = 20
- 30.55°, 2.926 Å, I = 100
- 38.53°, 2.336 Å, I = 21
- 41.72°, 2.165 Å, I = 30
- 45.70°, 1.985 Å, I = 36
- 55.97°, 1.643 Å, I = 18
- 75.04°, 1.266 Å, I = 15

Structural model:
Unit cell a=7.7752 b=7.7752 c=7.7752 alpha=29.59 beta=29.59 gamma=29.59
Sites, in units of the cell vectors:
Tb1 0.2342 0.2342 0.2342
Tb2 0.7658 0.7658 0.7658
Rh1 0.5000 0.5000 0.5000
Cl1 0.0000 0.0000 0.0000

Starting from a GGA-PBE-relaxed structure, the PXRD pattern of TcRh2Cl was computed for Cu Kα X-rays.
Intensities are scaled so that the largest is 100.

Principal peaks in the range 2θ from 10° to 90°, in order of rising 2θ:
- 10.45°, 8.466 Å, I = 29
- 39.18°, 2.299 Å, I = 100
- 42.72°, 2.116 Å, I = 26
- 46.63°, 1.948 Å, I = 60
- 65.55°, 1.424 Å, I = 21
- 70.56°, 1.335 Å, I = 17
- 79.10°, 1.211 Å, I = 12
- 81.46°, 1.181 Å, I = 22

Structural model:
Unit cell a=8.6238 b=8.6238 c=8.6238 alpha=19.01 beta=19.01 gamma=19.01
Sites, in units of the cell vectors:
Tc1 0.0000 0.0000 0.0000
Rh1 0.2510 0.2510 0.2510
Rh2 0.7490 0.7490 0.7490
Cl1 0.5000 0.5000 0.5000